Tb2Fe7: simulated powder XRD pattern (Cu Kα, 1.54184 Å), based on a crystal structure in Alexandria, relaxed with PBE.
Kinematic intensities with the Lorentz-polarization factor, no thermal factor.

Atomic structure:
```
data_Tb2Fe7
_chemical_formula_sum 'Tb12 Fe42'
_symmetry_space_group_name_H-M 'R -3 m'
_symmetry_Int_Tables_number 166
_symmetry_space_group_name_Hall '-R 3 2"'
_cell_length_a 5.0518
_cell_length_b 5.0518
_cell_length_c 36.2283
_cell_angle_alpha 90.00
_cell_angle_beta 90.00
_cell_angle_gamma 120.00
loop_
_atom_site_label
_atom_site_type_symbol
_atom_site_fract_x
_atom_site_fract_y
_atom_site_fract_z
_atom_site_occupancy
Tb1 Tb 0.0000 0.0000 0.0514 1
Tb2 Tb 0.0000 0.0000 0.1490 1
Fe1 Fe 0.0000 0.0000 0.2796 1
Fe2 Fe 0.0000 0.0000 0.3866 1
Fe3 Fe 0.0000 0.0000 0.5000 1
Fe4 Fe 0.0000 0.5000 0.0000 1
Fe5 Fe 0.0020 0.5010 0.1087 1
```

Principal peaks in the range 2θ from 10° to 90°, by angle:
| 2θ (°) | I (rel.) | (hkl) |
| --- | --- | --- |
| 32.1 | 46 | 1 0 10 |
| 34.1 | 30 | 0 1 11 |
| 35.5 | 51 | 1 1 0 |
| 41.3 | 35 | 0 2 1 |
| 42.2 | 100 | 1 1 9 |
| 45.0 | 20 | 0 0 18 |
| 61.7 | 14 | 2 1 10 |
| 62.9 | 10 | 1 2 11 |
| 65.5 | 10 | 1 1 21 |
| 67.1 | 14 | 2 0 20 |
| 68.4 | 22 | 0 3 9 |
| 75.2 | 20 | 2 2 0 |